[1]
Structure and calculated X-ray diffraction stick pattern of Cu2SnCl4 (a crystal structure in Alexandria, relaxed with PBE; Cu Kα (weighted mean of Kα1 and Kα2)).
Lines closer than 0.1° are merged.

Principal peaks in the range 2θ from 10° to 80°, sorted by position:
(hkl), d/Å, two_theta, I_rel
1 0 1, 4.860, 18.26, 849
2 0 0, 3.781, 23.53, 562
1 2 1, 2.984, 29.94, 871
1 1 2, 2.728, 32.84, 642
2 2 0, 2.674, 33.51, 521
3 2 1, 1.991, 45.55, 173
1 3 2, 1.909, 47.62, 1000
1 2 3, 1.793, 50.94, 183
4 2 0, 1.691, 54.24, 270
3 5 2, 1.200, 79.91, 185

Atomic structure:
a = 7.563 Å, b = 7.563 Å, c = 6.342 Å
α = 90.00°, β = 90.00°, γ = 90.00°
Space group I4/m (No. 87)
Asymmetric unit:
Cu: 0.000 0.500 0.250 x4
Sn: 0.000 0.000 0.000 x2
Cl: 0.159 0.334 0.000 x8



[2]
Structure and calculated X-ray diffraction stick pattern of SrTl4Cd (a crystal structure in Alexandria, relaxed with PBE; Cu Kα (weighted mean of Kα1 and Kα2)).
Lines closer than 0.1° are merged.

Principal peaks in the range 2θ from 10° to 80°, sorted by position:
(hkl), d/Å, two_theta, I_rel
0 0 3, 2.891, 30.93, 516
1 2 1, 2.813, 31.81, 1000
2 0 -1, 2.736, 32.74, 490
1 2 -2, 2.690, 33.31, 880
2 0 2, 2.088, 43.34, 207
2 0 -4, 1.900, 47.88, 151
1 2 4, 1.681, 54.58, 175
3 2 0, 1.619, 56.88, 188
2 4 -1, 1.563, 59.12, 152
3 2 -3, 1.548, 59.74, 160

Atomic structure:
a = 5.496 Å, b = 7.616 Å, c = 8.885 Å
α = 90.00°, β = 102.53°, γ = 90.00°
Space group P2_1/m (No. 11)
Asymmetric unit:
Sr: 0.180 0.250 0.342 x2
Tl: 0.000 0.000 0.000 x2
Tl: 0.328 0.027 0.685 x4
Tl: 0.483 0.750 0.982 x2
Cd: 0.196 0.750 0.366 x2



[3]
Structure and calculated X-ray diffraction stick pattern of Pr2Y4Er3 (a crystal structure in Alexandria, relaxed with PBE; Cu Kα (weighted mean of Kα1 and Kα2)).
Lines closer than 0.1° are merged.

Principal peaks in the range 2θ from 10° to 80°, sorted by position:
(hkl), d/Å, two_theta, I_rel
1 3 1, 3.185, 28.02, 156
1 1 -2, 2.972, 30.06, 631
0 4 0, 2.916, 30.66, 1000
4 2 1, 2.826, 31.66, 968
1 3 -2, 2.412, 37.28, 272
5 3 -1, 2.380, 37.80, 303
3 1 3, 1.825, 49.98, 128
4 6 1, 1.668, 55.06, 200
6 2 -3, 1.653, 55.61, 201
2 6 2, 1.593, 57.88, 126

Atomic structure:
a = 16.343 Å, b = 11.674 Å, c = 6.168 Å
α = 90.00°, β = 96.19°, γ = 90.00°
Space group C2/c (No. 15)
Asymmetric unit:
Pr: 0.122 0.146 0.322 x8
Y: 0.047 0.360 0.015 x8
Y: 0.215 0.137 0.849 x8
Er: 0.000 0.097 0.750 x4
Er: 0.165 0.401 0.594 x8



[4]
Structure and calculated X-ray diffraction stick pattern of CdSnRh (a crystal structure in Alexandria, relaxed with PBE; Cu Kα (weighted mean of Kα1 and Kα2)).
Lines closer than 0.1° are merged.

Principal peaks in the range 2θ from 10° to 80°, sorted by position:
(hkl), d/Å, two_theta, I_rel
0 0 1, 4.792, 18.52, 197
0 1 0, 4.434, 20.02, 137
0 1 1, 3.255, 27.40, 204
1 0 0, 3.056, 29.23, 87
0 0 2, 2.396, 37.54, 309
1 1 1, 2.228, 40.49, 1000
0 2 0, 2.217, 40.70, 246
0 2 2, 1.627, 56.56, 186
1 1 3, 1.349, 69.73, 198
1 3 1, 1.282, 73.93, 168

Atomic structure:
a = 3.056 Å, b = 4.434 Å, c = 4.792 Å
α = 90.00°, β = 90.00°, γ = 90.00°
Space group Pmmm (No. 47)
Asymmetric unit:
Cd: 0.000 0.000 0.000 x1
Sn: 0.000 0.500 0.500 x1
Rh: 0.500 0.000 0.500 x1